# AlIn2Bi
Computed powder XRD pattern, CuKα. Input: a DFT-relaxed cell (GGA-PBE, Alexandria).

Top 10 peaks for 2θ from 10° to 90°, in order of rising 2θ:
(0 0 9), 23.04 deg, intensity 23; (0 0 12), 30.89 deg, intensity 60; (0 1 2), 31.48 deg, intensity 100; (0 1 5), 33.68 deg, intensity 94; (1 0 7), 36.05 deg, intensity 84; (1 0 10), 40.69 deg, intensity 43; (0 1 14), 48.42 deg, intensity 34; (1 1 0), 55.24 deg, intensity 35; (1 1 12), 64.64 deg, intensity 43; (0 2 7), 67.72 deg, intensity 22

Crystal structure
Unit cell a=3.3260 b=3.3260 c=34.7350 alpha=90.00 beta=90.00 gamma=120.00
Space group R-3m (No. 166, hexagonal axes)
One atom of each set of equivalent atoms:
Al  0.0000  0.0000  0.0000 x3
In  0.0000  0.0000  0.0817 x6
Bi  0.0000  0.0000  0.5000 x3



# LaTb2SmAs4
Computed powder XRD pattern, CuKα. Input: a DFT-relaxed cell (GGA-PBE, Alexandria).

Top 10 peaks for 2θ from 10° to 90°, in order of rising 2θ:
(2 0 0), 25.87 deg, intensity 20; (1 1 1), 29.96 deg, intensity 100; (0 2 0), 42.88 deg, intensity 75; (3 1 1), 50.76 deg, intensity 10; (2 2 -2), 53.19 deg, intensity 26; (2 2 2), 62.25 deg, intensity 12; (4 0 2), 68.57 deg, intensity 4; (1 3 1), 70.61 deg, intensity 34; (1 3 -3), 78.55 deg, intensity 23; (4 2 2), 84.36 deg, intensity 3

Crystal structure
Unit cell a=7.301 b=4.221 c=7.306 alpha=90.00 beta=109.46 gamma=90.00
Space group P2/m (No. 10)
One atom of each set of equivalent atoms:
La  0.000  0.000  0.000 x1
Tb  0.500  0.000  0.500 x1
Tb  0.500  0.500  0.000 x1
Sm  0.000  0.500  0.500 x1
As  0.257  0.000  0.749 x2
As  0.260  0.500  0.257 x2



# Cs2TlF5
Computed powder XRD pattern, CuKα. Input: a DFT-relaxed cell (GGA-PBE, Alexandria).

Top 10 peaks for 2θ from 10° to 90°, in order of rising 2θ:
(1 0 1), 16.25 deg, intensity 83; (2 0 0), 25.47 deg, intensity 50; (1 1 2), 27.29 deg, intensity 100; (2 1 1), 30.36 deg, intensity 27; (1 0 3), 33.42 deg, intensity 13; (2 2 0), 36.33 deg, intensity 35; (3 1 2), 46.03 deg, intensity 46; (2 0 4), 49.31 deg, intensity 21; (2 2 4), 56.30 deg, intensity 17; (5 1 2), 72.21 deg, intensity 14

Crystal structure
Unit cell a=6.995 b=6.995 c=8.708 alpha=90.00 beta=90.00 gamma=90.00
Space group I4mm (No. 107)
One atom of each set of equivalent atoms:
Cs  0.000  0.500  0.000 x4
Tl  0.000  0.000  0.262 x2
F  0.000  0.000  0.504 x2
F  0.213  0.213  0.208 x8